This entry pairs a crystal structure of ScTlZn2F8 with its calculated powder diffraction line list. Radiation: Cu Kα X-rays. Structure: DFT lattice parameters and positions (GGA-PBE).
No peak broadening, texture or thermal motion is included.

Top 10 peaks for 10 to 80 degrees two-theta, by angle:
Position (°2θ)	I (rel.)
10.97	15
19.55	17
24.23	100
33.58	40
35.45	58
41.85	21
54.69	20
57.27	26
60.05	14
61.27	15

Crystal structure
abc: 8.6341 8.6341 8.6341
angles: 36.00 36.00 36.00
Element x y z (fractional)
Sc 0.0000 0.0000 0.0000
Tl 0.5000 0.5000 0.5000
Zn 0.2525 0.2525 0.2525
Zn 0.7475 0.7475 0.7475
F 0.0372 0.7458 0.3648
F 0.1754 0.1754 0.1754
F 0.2542 0.6352 0.9628
F 0.3648 0.0372 0.7458
F 0.6352 0.9628 0.2542
F 0.7458 0.3648 0.0372
F 0.8246 0.8246 0.8246
F 0.9628 0.2542 0.6352